CaIn2Cl4: calculated powder XRD pattern (copper Kα), based on a cell relaxed with PBE.

Cell and atoms:
a b c (Å): 7.3031 7.7484 16.5249
angles (deg): 90.00 90.00 90.00
Sites, in units of the cell vectors:
Ca: 0.0000 0.0000 0.0000
Ca: 0.0000 0.5000 0.5000
Ca: 0.5000 0.0000 0.5000
Ca: 0.5000 0.5000 0.0000
In: 0.0158 0.0794 0.3506
In: 0.0158 0.4206 0.8506
In: 0.4842 0.5794 0.3506
In: 0.4842 0.9206 0.8506
In: 0.5158 0.0794 0.1494
In: 0.5158 0.4206 0.6494
In: 0.9842 0.5794 0.1494
In: 0.9842 0.9206 0.6494
Cl: 0.0895 0.0274 0.8391
Cl: 0.0895 0.4726 0.3391
Cl: 0.1888 0.1950 0.5242
Cl: 0.1888 0.3050 0.0242
Cl: 0.3112 0.6950 0.5242
Cl: 0.3112 0.8050 0.0242
Cl: 0.4105 0.5274 0.8391
Cl: 0.4105 0.9726 0.3391
Cl: 0.5895 0.0274 0.6609
Cl: 0.5895 0.4726 0.1609
Cl: 0.6888 0.1950 0.9758
Cl: 0.6888 0.3050 0.4758
Cl: 0.8112 0.6950 0.9758
Cl: 0.8112 0.8050 0.4758
Cl: 0.9105 0.5274 0.6609
Cl: 0.9105 0.9726 0.1609

Top 10 peaks for 5 to 70 degrees two-theta, in order of rising 2θ:
2θ 19.86, intensity 62; 2θ 22.96, intensity 32; 2θ 23.26, intensity 100; 2θ 24.38, intensity 51; 2θ 32.51, intensity 46; 2θ 32.73, intensity 33; 2θ 33.73, intensity 39; 2θ 34.18, intensity 31; 2θ 38.55, intensity 71; 2θ 42.23, intensity 48

---

CaIn2Cl: calculated powder XRD pattern (copper Kα), based on a cell relaxed with PBE.

Cell and atoms:
a b c (Å): 3.4552 4.3602 15.5363
angles (deg): 90.00 90.00 90.00
Sites, in units of the cell vectors:
Ca: 0.0000 0.0000 0.0000
Ca: 0.5000 0.5000 0.5000
In: 0.0000 0.5000 0.3024
In: 0.0000 0.5000 0.6976
In: 0.5000 0.0000 0.1976
In: 0.5000 0.0000 0.8024
Cl: 0.0000 0.0000 0.5000
Cl: 0.5000 0.5000 0.0000

Top 10 peaks for 5 to 70 degrees two-theta, in order of rising 2θ:
2θ 11.39, intensity 52; 2θ 22.90, intensity 22; 2θ 26.73, intensity 53; 2θ 31.12, intensity 41; 2θ 33.08, intensity 21; 2θ 35.09, intensity 100; 2θ 35.47, intensity 40; 2θ 38.98, intensity 28; 2θ 41.42, intensity 22; 2θ 58.48, intensity 27

---

NaCa2InCl6: calculated powder XRD pattern (copper Kα), based on a cell relaxed with PBE.

Cell and atoms:
a b c (Å): 7.5937 7.5937 7.5937
angles (deg): 57.54 57.54 57.54
Sites, in units of the cell vectors:
Na: 0.0000 0.0000 0.0000
Ca: 0.3030 0.3030 0.3030
Ca: 0.7959 0.7959 0.7959
In: 0.5192 0.5192 0.5192
Cl: 0.0669 0.4207 0.6809
Cl: 0.1364 0.9644 0.5753
Cl: 0.4207 0.6809 0.0669
Cl: 0.5753 0.1364 0.9644
Cl: 0.6809 0.0669 0.4207
Cl: 0.9644 0.5753 0.1364

Top 10 peaks for 5 to 70 degrees two-theta, in order of rising 2θ:
2θ 14.75, intensity 37; 2θ 16.85, intensity 24; 2θ 23.46, intensity 57; 2θ 24.35, intensity 30; 2θ 28.22, intensity 100; 2θ 29.76, intensity 24; 2θ 34.07, intensity 63; 2θ 37.65, intensity 48; 2θ 42.32, intensity 35; 2θ 42.86, intensity 47

---

CaIrCl6: calculated powder XRD pattern (copper Kα), based on a cell relaxed with PBE.

Cell and atoms:
a b c (Å): 6.8333 6.8333 6.8333
angles (deg): 55.49 55.49 55.49
Sites, in units of the cell vectors:
Ca: 0.0000 0.0000 0.0000
Ir: 0.5000 0.5000 0.5000
Cl: 0.1093 0.4459 0.7130
Cl: 0.2870 0.8907 0.5541
Cl: 0.4459 0.7130 0.1093
Cl: 0.5541 0.2870 0.8907
Cl: 0.7130 0.1093 0.4459
Cl: 0.8907 0.5541 0.2870

Top 10 peaks for 5 to 70 degrees two-theta, in order of rising 2θ:
2θ 15.38, intensity 28; 2θ 16.89, intensity 73; 2θ 19.10, intensity 100; 2θ 26.21, intensity 47; 2θ 32.14, intensity 49; 2θ 34.16, intensity 24; 2θ 42.32, intensity 50; 2θ 44.76, intensity 21; 2θ 48.53, intensity 19; 2θ 49.62, intensity 29

---

Ca2IrCl8: calculated powder XRD pattern (copper Kα), based on a cell relaxed with PBE.

Cell and atoms:
a b c (Å): 7.8266 7.8266 6.8217
angles (deg): 90.56 90.56 47.37
Sites, in units of the cell vectors:
Ca: 0.1363 0.1363 0.0369
Ca: 0.8637 0.8637 0.9631
Ir: 0.0000 0.0000 0.5000
Cl: 0.1604 0.1604 0.4420
Cl: 0.2234 0.7326 0.2455
Cl: 0.2674 0.7766 0.7545
Cl: 0.3109 0.3109 0.9337
Cl: 0.6891 0.6891 0.0663
Cl: 0.7326 0.2234 0.2455
Cl: 0.7766 0.2674 0.7545
Cl: 0.8396 0.8396 0.5580

Top 10 peaks for 5 to 70 degrees two-theta, in order of rising 2θ:
2θ 12.35, intensity 65; 2θ 15.39, intensity 100; 2θ 17.86, intensity 19; 2θ 18.05, intensity 29; 2θ 20.19, intensity 60; 2θ 28.00, intensity 22; 2θ 30.52, intensity 26; 2θ 33.85, intensity 22; 2θ 36.77, intensity 19; 2θ 38.96, intensity 36

---

K3Ca2Cl7: calculated powder XRD pattern (copper Kα), based on a cell relaxed with PBE.

Cell and atoms:
a b c (Å): 13.6647 13.6647 5.2978
angles (deg): 90.00 90.00 157.08
Sites, in units of the cell vectors:
K: 0.0000 0.0000 0.0000
K: 0.1809 0.8191 0.0000
K: 0.8191 0.1809 0.0000
Ca: 0.3973 0.6027 0.5000
Ca: 0.6027 0.3973 0.5000
Cl: 0.0982 0.9018 0.5000
Cl: 0.2982 0.7018 0.5000
Cl: 0.4004 0.5996 0.0000
Cl: 0.5000 0.5000 0.5000
Cl: 0.5996 0.4004 0.0000
Cl: 0.7018 0.2982 0.5000
Cl: 0.9018 0.0982 0.5000

Top 10 peaks for 5 to 70 degrees two-theta, in order of rising 2θ:
2θ 13.22, intensity 22; 2θ 23.70, intensity 15; 2θ 28.84, intensity 100; 2θ 32.99, intensity 47; 2θ 33.46, intensity 35; 2θ 33.84, intensity 43; 2θ 47.69, intensity 22; 2θ 47.98, intensity 28; 2θ 48.32, intensity 21; 2θ 59.76, intensity 23